Dy2Pd2Pb: computed X-ray powder pattern (CuKα), based on a DFT-relaxed cell (PBE, the Materials Project).

Cell and atoms:
```
data_Dy2Pd2Pb
_chemical_formula_sum 'Dy4 Pd4 Pb2'
_cell_length_a 7.9661
_cell_length_b 7.9661
_cell_length_c 3.5909
_cell_angle_alpha 90.00
_cell_angle_beta 90.00
_cell_angle_gamma 90.00
_space_group_name_H-M_alt 'P 4/m b m'
_space_group_IT_number 127
_space_group_name_Hall '-P 4 2ab'
loop_
_atom_site_label
_atom_site_fract_x
_atom_site_fract_y
_atom_site_fract_z
_atom_site_occupancy
Dy1 0.1708 0.3292 0.0000 1
Pd1 0.1254 0.6254 0.5000 1
Pb1 0.0000 0.0000 0.5000 1
```

Main lines, by angle (15° ≤ 2θ ≤ 90°):
h k l  2θ/deg  d [Å]  I (rel.)
2 2 0  31.77  2.816  20
2 0 1  33.60  2.667  55
2 1 1  35.50  2.529  100
3 1 0  35.64  2.519  71
3 1 2  63.64  1.462  27
5 1 1  65.11  1.433  19


DyPd2Pb: computed X-ray powder pattern (CuKα), based on a DFT-relaxed cell (PBE, the Materials Project).

Cell and atoms:
```
data_DyPd2Pb
_chemical_formula_sum 'Dy4 Pd8 Pb4'
_cell_length_a 6.8982
_cell_length_b 6.8982
_cell_length_c 6.8982
_cell_angle_alpha 90.00
_cell_angle_beta 90.00
_cell_angle_gamma 90.00
_space_group_name_H-M_alt 'F m -3 m'
_space_group_IT_number 225
_space_group_name_Hall '-F 4 2 3'
loop_
_atom_site_label
_atom_site_fract_x
_atom_site_fract_y
_atom_site_fract_z
_atom_site_occupancy
Dy1 0.0000 0.0000 0.0000 1
Pd1 0.2500 0.2500 0.2500 1
Pb1 0.0000 0.0000 0.5000 1
```

Main lines, by angle (15° ≤ 2θ ≤ 90°):
h k l  2θ/deg  d [Å]  I (rel.)
2 0 0  25.83  3.449  8
2 2 0  36.85  2.439  100
4 0 0  53.11  1.725  18
4 2 2  66.39  1.408  36
4 4 0  78.42  1.219  11
6 2 0  89.95  1.091  17


Dy14Pb3S24: computed X-ray powder pattern (CuKα), based on a DFT-relaxed cell (PBE, the Materials Project).

Cell and atoms:
```
data_Dy14Pb3S24
_chemical_formula_sum 'Dy28 Pb6 S48'
_cell_length_a 11.9607
_cell_length_b 8.3891
_cell_length_c 18.8699
_cell_angle_alpha 90.00
_cell_angle_beta 108.36
_cell_angle_gamma 90.00
_space_group_name_H-M_alt 'C 1 2 1'
_space_group_IT_number 5
_space_group_name_Hall 'C 2y'
loop_
_atom_site_label
_atom_site_fract_x
_atom_site_fract_y
_atom_site_fract_z
_atom_site_occupancy
Dy1 0.0059 0.0000 0.1294 1
Dy2 0.0415 0.2468 0.6968 1
Dy3 0.1240 0.7553 0.6214 1
Dy4 0.1683 0.4939 0.2134 1
Dy5 0.1691 0.8715 0.3375 1
Dy6 0.1788 0.4908 0.4627 1
Dy7 0.2104 0.7461 0.0395 1
Pb1 0.0000 0.3747 0.0000 1
Pb2 0.1637 0.6201 0.8314 1
S1 0.0059 0.6883 0.9169 1
S2 0.0290 0.5646 0.3035 1
S3 0.0602 0.3077 0.8636 1
S4 0.0624 0.9345 0.7442 1
S5 0.1016 0.4387 0.5851 1
S6 0.1097 0.8047 0.4622 1
S7 0.1404 0.0574 0.0325 1
S8 0.1597 0.1749 0.4174 1
S9 0.1780 0.1781 0.2546 1
S10 0.1949 0.0702 0.6340 1
S11 0.2248 0.8093 0.2067 1
S12 0.2452 0.4367 0.0889 1
```

Main lines, by angle (15° ≤ 2θ ≤ 90°):
h k l  2θ/deg  d [Å]  I (rel.)
3 1 -3  25.86  3.446  100
2 2 -1  25.95  3.433  54
3 1 3  33.53  2.672  65
1 3 -2  33.76  2.655  42
5 1 -4  39.95  2.257  34
3 3 0  40.04  2.252  27


Dy2PbS4: computed X-ray powder pattern (CuKα), based on a DFT-relaxed cell (PBE, the Materials Project).

Cell and atoms:
```
data_Dy2PbS4
_chemical_formula_sum 'Dy8 Pb4 S16'
_cell_length_a 8.5420
_cell_length_b 8.5420
_cell_length_c 8.5178
_cell_angle_alpha 90.00
_cell_angle_beta 90.00
_cell_angle_gamma 90.00
_space_group_name_H-M_alt 'I -4 2 d'
_space_group_IT_number 122
_space_group_name_Hall 'I -4 2bw'
loop_
_atom_site_label
_atom_site_fract_x
_atom_site_fract_y
_atom_site_fract_z
_atom_site_occupancy
Dy1 0.1285 0.7500 0.1250 1
Pb1 0.0000 0.0000 0.5000 1
S1 0.0724 0.6729 0.4336 1
```

Main lines, by angle (15° ≤ 2θ ≤ 90°):
h k l  2θ/deg  d [Å]  I (rel.)
2 1 1  25.57  3.484  100
3 0 1  33.20  2.699  79
3 1 2  39.51  2.281  48
4 2 0  47.62  1.910  23
3 2 3  50.14  1.819  24
6 1 1  67.63  1.385  22